(1)
For TlIn2PbBr6, a cell relaxed with PBE gives the simulated X-ray powder pattern in this record (Cu Kα).
Kinematic intensities with the Lorentz-polarization factor, no thermal factor.

Top 10 peaks for 2θ = 15–90°, by angle:
d/Å  2theta  I/Imax
5.748  15.41  46.4
4.281  20.75  50.2
3.878  22.93  33.1
3.436  25.93  48.6
2.874  31.12  32.4
2.678  33.46  100.0
2.309  39.01  27.9
2.239  40.28  50.5
1.718  53.33  23.1
1.427  65.38  20.9

Structure:
```
10
Lattice="7.7544 0.0000 0.0000 -3.8723 6.7197 0.0000 -0.0059 -4.4777 7.4063" Properties=species:S:1:pos:R:3 pbc="T T T"
Tl 0.0000 0.0000 0.0000
In -0.0002 0.0013 6.5863
In 3.8806 2.2406 3.1151
Pb 0.0035 4.4816 3.4059
Br -2.3304 4.1357 1.4446
Br -1.4848 2.2283 4.9223
Br 1.4640 2.6282 1.4477
Br 2.6698 0.1821 4.9224
Br 4.7434 -0.0452 1.4416
Br 6.5767 -2.3980 4.9166
```

---

(2)
For In3PdBr, a cell relaxed with PBE gives the simulated X-ray powder pattern in this record (Cu Kα).
Kinematic intensities with the Lorentz-polarization factor, no thermal factor.

Top 10 peaks for 2θ = 15–90°, by angle:
d/Å  2theta  I/Imax
5.249  16.89  39.9
3.031  29.47  71.0
2.625  34.16  100.0
2.347  38.34  20.4
1.856  49.09  70.1
1.583  58.30  29.4
1.515  61.16  23.7
1.312  71.96  10.9
1.204  79.61  11.8
1.174  82.12  30.6

Structure:
```
5
Lattice="5.2490 0.0000 0.0000 0.0000 5.2490 0.0000 0.0000 0.0000 5.2490" Properties=species:S:1:pos:R:3 pbc="T T T"
In 0.0000 0.0000 2.6245
In 0.0000 2.6245 0.0000
In 2.6245 0.0000 0.0000
Pd 0.0000 0.0000 0.0000
Br 2.6245 2.6245 2.6245
```

---

(3)
For PmIn3Br7, a cell relaxed with PBE gives the simulated X-ray powder pattern in this record (Cu Kα).
Kinematic intensities with the Lorentz-polarization factor, no thermal factor.

Top 10 peaks for 2θ = 15–90°, by angle:
d/Å  2theta  I/Imax
5.168  17.16  52.5
4.266  20.82  49.6
3.523  25.28  86.8
3.022  29.55  100.0
2.919  30.63  52.4
2.649  33.83  36.5
2.510  35.78  40.8
2.421  37.13  43.2
2.260  39.89  36.1
2.185  41.32  30.1

Structure:
```
11
Lattice="5.4494 -5.2986 0.0000 5.4494 5.2986 0.0000 -2.4076 0.0000 7.1937" Properties=species:S:1:pos:R:3 pbc="T T T"
Pm 0.0000 0.0000 0.0000
In 4.3951 2.9109 3.7401
In 5.7415 0.0000 0.6456
In 4.3951 -2.9109 3.7401
Br 1.9301 3.2264 5.5595
Br -0.0970 0.0000 5.4496
Br 6.5995 3.1809 1.6076
Br 4.3570 0.0000 3.4535
Br 1.9301 -3.2264 5.5595
Br 8.7268 0.0000 1.9527
Br 6.5995 -3.1809 1.6076
```

---

Question: Number 1 is which compound?
Answer: TlIn2PbBr6

---

Question: Number 2 is which compound?
Answer: In3PdBr